1.
Structure and theoretical powder X-ray diffraction pattern of Sr14Nb6O29 (DFT lattice parameters and positions (PBE); Cu Kα (λ = 1.5418 Å)).

Crystal structure
Lattice parameters (Å, degrees): 6.049 6.072 24.903 86.91 84.93 61.36
Space group P1 (No. 1)
One atom of each set of equivalent atoms:
Sr 0.000 0.000 0.000 [1 per cell]
Sr 0.004 0.042 0.858 [1 per cell]
Sr 0.185 0.994 0.536 [1 per cell]
Sr 0.282 0.964 0.393 [1 per cell]
Sr 0.299 0.381 0.763 [1 per cell]
Sr 0.329 0.365 0.039 [1 per cell]
Sr 0.532 0.301 0.609 [1 per cell]
Sr 0.556 0.323 0.470 [1 per cell]
Sr 0.593 0.869 0.240 [1 per cell]
Sr 0.650 0.744 0.793 [1 per cell]
Sr 0.659 0.670 0.931 [1 per cell]
Sr 0.875 0.642 0.634 [1 per cell]
Sr 0.973 0.624 0.374 [1 per cell]
Sr 0.983 0.119 0.159 [1 per cell]
Nb 0.170 0.941 0.694 [1 per cell]
Nb 0.330 0.358 0.898 [1 per cell]
Nb 0.350 0.504 0.196 [1 per cell]
Nb 0.626 0.669 0.087 [1 per cell]
Nb 0.635 0.309 0.314 [1 per cell]
Nb 0.883 0.649 0.503 [1 per cell]
O 0.019 0.475 0.851 [1 per cell]
O 0.023 0.747 0.214 [1 per cell]
O 0.095 0.598 0.957 [1 per cell]
O 0.131 0.335 0.457 [1 per cell]
O 0.181 0.570 0.549 [1 per cell]
O 0.202 0.030 0.767 [1 per cell]
O 0.223 0.236 0.671 [1 per cell]
O 0.256 0.086 0.929 [1 per cell]
O 0.293 0.658 0.118 [1 per cell]
O 0.301 0.227 0.182 [1 per cell]
O 0.383 0.624 0.276 [1 per cell]
O 0.404 0.618 0.860 [1 per cell]
O 0.431 0.489 0.376 [1 per cell]
O 0.450 0.712 0.024 [1 per cell]
O 0.482 0.639 0.683 [1 per cell]
O 0.568 0.117 0.838 [1 per cell]
O 0.620 0.714 0.452 [1 per cell]
O 0.624 0.999 0.332 [1 per cell]
O 0.632 0.248 0.944 [1 per cell]
O 0.634 0.942 0.550 [1 per cell]
O 0.648 0.585 0.167 [1 per cell]
O 0.666 0.226 0.235 [1 per cell]
O 0.681 0.950 0.076 [1 per cell]
O 0.788 0.423 0.549 [1 per cell]
O 0.920 0.357 0.068 [1 per cell]
O 0.948 0.281 0.328 [1 per cell]
O 0.960 0.787 0.727 [1 per cell]
O 0.974 0.004 0.632 [1 per cell]
O 0.978 0.885 0.455 [1 per cell]

Top 12 peaks for 15 to 90 degrees two-theta, sorted by position:
h k l, 2θ/deg, intensity
1 0 -6, 28.32, 37
1 -1 0, 28.89, 18
1 -1 1, 28.99, 40
1 1 7, 29.30, 57
1 2 0, 29.51, 100
1 2 2, 29.93, 12
2 1 -1, 30.21, 16
0 1 -7, 30.48, 56
2 2 -6, 42.62, 16
2 0 8, 43.32, 16
3 0 1, 51.66, 14
2 3 8, 53.33, 19

***

2.
Structure and theoretical powder X-ray diffraction pattern of Li4CO4 (DFT lattice parameters and positions (PBE); Cu Kα (λ = 1.5418 Å)).

Crystal structure
Lattice parameters (Å, degrees): 6.494 6.494 4.370 90.00 90.00 90.00
Space group I-42m (No. 121)
One atom of each set of equivalent atoms:
Li 0.171 0.171 0.366 [8 per cell]
C 0.000 0.000 0.000 [2 per cell]
O 0.125 0.125 0.809 [8 per cell]

Top 12 peaks for 15 to 90 degrees two-theta, sorted by position:
h k l, 2θ/deg, intensity
1 1 0, 19.33, 100
1 0 1, 24.55, 21
2 1 1, 37.17, 30
0 0 2, 41.32, 4
3 1 0, 44.10, 7
1 1 2, 46.00, 10
3 2 1, 55.15, 11
4 0 0, 56.70, 5
2 2 2, 58.29, 9
3 3 0, 60.48, 4
3 1 2, 62.02, 6
4 0 2, 72.56, 5

***

3.
Structure and theoretical powder X-ray diffraction pattern of La2Hf2O7 (DFT lattice parameters and positions (PBE); Cu Kα (λ = 1.5418 Å)).

Crystal structure
Lattice parameters (Å, degrees): 10.667 10.667 10.667 90.00 90.00 90.00
Space group Fd-3m (No. 227, origin choice 2)
One atom of each set of equivalent atoms:
La 0.000 0.000 0.000 [16 per cell]
Hf 0.000 0.000 0.500 [16 per cell]
O 0.113 0.375 0.875 [48 per cell]
O 0.125 0.125 0.625 [8 per cell]

Top 12 peaks for 15 to 90 degrees two-theta, sorted by position:
h k l, 2θ/deg, intensity
3 1 1, 27.74, 1
2 2 2, 29.00, 100
4 0 0, 33.61, 34
3 3 1, 36.73, 1
4 4 0, 48.26, 50
5 3 1, 50.63, 1
6 2 2, 57.29, 45
4 4 4, 60.10, 9
5 5 1, 62.15, 1
8 0 0, 70.65, 8
6 6 2, 78.11, 18
8 4 0, 80.55, 13

***

4.
Structure and theoretical powder X-ray diffraction pattern of Tl2Ge2O7 (DFT lattice parameters and positions (PBE); Cu Kα (λ = 1.5418 Å)).

Crystal structure
Lattice parameters (Å, degrees): 10.067 10.067 10.067 90.00 90.00 90.00
Space group Fd-3m (No. 227, origin choice 2)
One atom of each set of equivalent atoms:
Tl 0.000 0.000 0.000 [16 per cell]
Ge 0.000 0.000 0.500 [16 per cell]
O 0.074 0.375 0.875 [48 per cell]
O 0.125 0.125 0.125 [8 per cell]

Top 12 peaks for 15 to 90 degrees two-theta, sorted by position:
h k l, 2θ/deg, intensity
1 1 1, 15.24, 21
3 1 1, 29.43, 12
2 2 2, 30.77, 100
4 0 0, 35.68, 35
3 3 1, 39.00, 14
5 1 1, 46.90, 7
4 4 0, 51.34, 45
6 2 2, 61.06, 43
4 4 4, 64.09, 11
8 0 0, 75.56, 7
6 6 2, 83.77, 18
8 4 0, 86.47, 16

***

5.
Structure and theoretical powder X-ray diffraction pattern of Cr7C3 (DFT lattice parameters and positions (PBE); Cu Kα (λ = 1.5418 Å)).

Crystal structure
Lattice parameters (Å, degrees): 4.506 6.945 12.038 90.00 90.00 90.00
Space group Pnma (No. 62)
One atom of each set of equivalent atoms:
Cr 0.058 0.250 0.127 [4 per cell]
Cr 0.059 0.065 0.312 [8 per cell]
Cr 0.242 0.250 0.704 [4 per cell]
Cr 0.242 0.750 0.417 [4 per cell]
Cr 0.250 0.067 0.522 [8 per cell]
C 0.032 0.033 0.844 [8 per cell]
C 0.034 0.750 0.563 [4 per cell]

Top 12 peaks for 15 to 90 degrees two-theta, sorted by position:
h k l, 2θ/deg, intensity
0 2 4, 39.63, 31
1 2 3, 39.73, 13
2 0 2, 42.86, 45
1 1 5, 44.63, 100
0 0 6, 45.21, 12
1 3 2, 46.62, 17
2 0 4, 50.62, 24
0 4 0, 52.70, 15
3 3 3, 79.77, 17
2 2 8, 81.84, 17
1 5 5, 83.08, 12
0 6 0, 83.49, 14

***

6.
Structure and theoretical powder X-ray diffraction pattern of InBi3 (DFT lattice parameters and positions (PBE); Cu Kα (λ = 1.5418 Å)).

Crystal structure
Lattice parameters (Å, degrees): 3.303 8.977 8.907 90.00 90.00 90.00
Space group C222 (No. 21)
One atom of each set of equivalent atoms:
In 0.000 0.000 0.000 [2 per cell]
Bi 0.000 0.500 0.500 [2 per cell]
Bi 0.250 0.250 0.247 [4 per cell]

Top 12 peaks for 15 to 90 degrees two-theta, sorted by position:
h k l, 2θ/deg, intensity
0 2 2, 28.23, 100
1 1 1, 30.53, 83
0 4 0, 40.18, 20
0 0 4, 40.51, 19
1 3 1, 41.98, 36
1 1 3, 42.14, 35
1 3 3, 51.43, 20
0 4 4, 58.38, 13
1 5 1, 59.51, 13
2 2 0, 59.68, 25
2 4 2, 74.44, 13
2 2 4, 74.60, 14

***

7.
Structure and theoretical powder X-ray diffraction pattern of Zr2N2O (DFT lattice parameters and positions (PBE); Cu Kα (λ = 1.5418 Å)).

Crystal structure
Lattice parameters (Å, degrees): 13.805 3.329 16.646 90.00 100.27 90.00
Space group Cm (No. 8)
One atom of each set of equivalent atoms:
Zr 0.000 0.000 0.000 [2 per cell]
Zr 0.002 0.000 0.503 [2 per cell]
Zr 0.060 0.000 0.308 [2 per cell]
Zr 0.068 0.000 0.809 [2 per cell]
Zr 0.160 0.500 0.142 [2 per cell]
Zr 0.166 0.500 0.644 [2 per cell]
Zr 0.223 0.500 0.468 [2 per cell]
Zr 0.229 0.500 0.972 [2 per cell]
Zr 0.333 0.000 0.836 [2 per cell]
Zr 0.336 0.000 0.340 [2 per cell]
Zr 0.396 0.000 0.666 [2 per cell]
Zr 0.401 0.000 0.168 [2 per cell]
N 0.063 0.500 0.232 [2 per cell]
N 0.157 0.000 0.048 [2 per cell]
N 0.158 0.000 0.541 [2 per cell]
N 0.203 0.000 0.383 [2 per cell]
N 0.203 0.000 0.890 [2 per cell]
N 0.230 0.000 0.718 [2 per cell]
N 0.359 0.500 0.920 [2 per cell]
N 0.360 0.500 0.423 [2 per cell]
N 0.403 0.500 0.260 [2 per cell]
N 0.409 0.500 0.759 [2 per cell]
N 0.496 0.000 0.075 [2 per cell]
N 0.498 0.000 0.581 [2 per cell]
O 0.031 0.500 0.404 [2 per cell]
O 0.033 0.500 0.899 [2 per cell]
O 0.062 0.500 0.734 [2 per cell]
O 0.241 0.000 0.212 [2 per cell]
O 0.317 0.500 0.595 [2 per cell]
O 0.322 0.500 0.094 [2 per cell]

Top 12 peaks for 15 to 90 degrees two-theta, sorted by position:
h k l, 2θ/deg, intensity
4 0 2, 30.19, 100
4 0 -4, 31.07, 50
0 0 6, 32.81, 24
3 1 0, 33.41, 40
1 1 -4, 34.61, 50
5 1 -2, 42.86, 14
3 1 -6, 44.80, 23
3 1 6, 50.13, 28
0 2 0, 55.17, 16
7 1 -4, 55.97, 19
7 1 2, 57.81, 18
4 2 -4, 64.71, 17

***

8.
Structure and theoretical powder X-ray diffraction pattern of TmGa (DFT lattice parameters and positions (PBE); Cu Kα (λ = 1.5418 Å)).

Crystal structure
Lattice parameters (Å, degrees): 4.309 10.704 4.000 90.00 90.00 90.00
Space group Cmcm (No. 63)
One atom of each set of equivalent atoms:
Tm 0.000 0.139 0.250 [4 per cell]
Ga 0.000 0.421 0.250 [4 per cell]

Top 12 peaks for 15 to 90 degrees two-theta, sorted by position:
h k l, 2θ/deg, intensity
0 2 1, 27.85, 28
1 1 1, 31.65, 100
1 3 0, 32.58, 40
0 4 0, 33.49, 28
1 3 1, 39.80, 49
0 4 1, 40.56, 15
2 0 0, 41.94, 25
0 0 2, 45.35, 20
2 4 0, 54.70, 14
1 3 2, 56.95, 16
2 0 2, 63.47, 15
1 1 3, 75.14, 16